No. 1
This entry pairs a crystal structure of Mn6O7F5 with its computed powder diffractogram. Radiation: a wavelength of 1.5418 Å. Structure: a crystal structure in the Materials Project, relaxed with GGA+U.
Lines closer than 0.1° are merged.

Atomic structure:
a = 4.5686 Å, b = 5.6411 Å, c = 15.3462 Å
α = 89.96°, β = 89.56°, γ = 89.20°
Positions (direct):
Mn (0.0000, 0.0000, 0.0000)
Mn (0.0005, 0.7126, 0.1603)
Mn (0.0034, 0.9850, 0.6647)
Mn (0.0058, 0.9967, 0.3337)
Mn (0.0115, 0.6935, 0.8309)
Mn (0.0196, 0.7239, 0.5005)
Mn (0.4946, 0.4994, 0.3392)
Mn (0.5010, 0.1955, 0.8455)
Mn (0.5166, 0.4988, 0.0145)
Mn (0.5210, 0.1828, 0.1769)
Mn (0.5330, 0.5094, 0.6753)
Mn (0.5352, 0.1717, 0.5131)
O (0.2169, 0.9653, 0.8901)
O (0.2243, 0.9570, 0.2249)
O (0.2250, 0.7306, 0.0581)
O (0.2266, 0.7321, 0.7235)
O (0.2306, 0.9638, 0.5613)
O (0.2369, 0.7357, 0.3915)
O (0.7118, 0.2317, 0.2861)
O (0.7180, 0.4616, 0.7874)
O (0.7215, 0.2355, 0.9541)
O (0.7352, 0.4612, 0.1200)
O (0.7435, 0.2350, 0.6204)
O (0.7778, 0.9504, 0.1080)
O (0.7897, 0.7503, 0.6060)
O (0.7909, 0.9563, 0.4427)
F (0.2396, 0.4716, 0.2262)
F (0.2516, 0.2208, 0.7298)
F (0.2567, 0.4651, 0.9097)
F (0.2740, 0.2216, 0.0730)
F (0.2772, 0.2434, 0.4036)
F (0.2836, 0.4783, 0.5601)
F (0.7519, 0.9645, 0.7695)
F (0.7539, 0.7234, 0.2710)
F (0.7555, 0.7304, 0.9355)
F (0.7569, 0.4681, 0.4520)

The 12 most intense peaks (10 to 90 degrees two-theta), by angle:
2θ 24.9, I = 100, (1 1 0); 2θ 25.3, I = 91, (1 -1 0); 2θ 30.4, I = 81, (1 1 3); 2θ 30.6, I = 85, (1 1 -3); 2θ 30.7, I = 79, (1 -1 3); 2θ 30.9, I = 87, (-1 1 3); 2θ 35.1, I = 34, (0 0 6); 2θ 36.4, I = 72, (0 2 3); 2θ 53.6, I = 39, (2 0 6); 2θ 54.0, I = 42, (2 0 -6); 2θ 54.3, I = 34, (2 2 3); 2θ 63.8, I = 53, (0 2 9)



No. 2
This entry pairs a crystal structure of Mn8O13F3 with its computed powder diffractogram. Radiation: a wavelength of 1.5418 Å. Structure: a crystal structure in the Materials Project, relaxed with GGA+U.
Lines closer than 0.1° are merged.

Atomic structure:
a = 4.5094 Å, b = 7.4538 Å, c = 7.4682 Å
α = 83.95°, β = 88.18°, γ = 88.61°
Positions (direct):
Mn (0.0000, 0.0000, 0.0000)
Mn (0.0009, 0.9010, 0.3962)
Mn (0.0170, 0.4935, 0.5059)
Mn (0.4918, 0.6556, 0.1429)
Mn (0.5073, 0.7580, 0.7380)
Mn (0.5138, 0.1533, 0.6542)
Mn (0.5161, 0.2619, 0.2398)
Mn (0.9861, 0.3875, 0.8925)
O (0.2195, 0.8518, 0.1763)
O (0.2279, 0.2148, 0.0384)
O (0.2336, 0.3527, 0.6820)
O (0.2354, 0.7142, 0.5397)
O (0.2638, 0.9681, 0.7854)
O (0.2657, 0.4661, 0.2897)
O (0.7256, 0.7963, 0.9556)
O (0.7284, 0.9334, 0.5973)
O (0.7286, 0.4359, 0.0929)
O (0.7416, 0.2937, 0.4624)
O (0.7594, 0.0447, 0.2114)
O (0.7639, 0.5400, 0.7106)
O (0.7730, 0.1808, 0.8569)
F (0.2488, 0.6007, 0.9113)
F (0.2782, 0.1147, 0.4207)
F (0.7687, 0.6640, 0.3587)

The 12 most intense peaks (10 to 90 degrees two-theta), by angle:
2θ 25.0, I = 65, (1 1 1); 2θ 25.9, I = 54, (-1 1 1); 2θ 30.8, I = 52, (1 0 2); 2θ 30.9, I = 46, (1 2 0); 2θ 31.6, I = 100, (1 0 -2); 2θ 36.0, I = 22, (0 2 -2); 2θ 37.1, I = 47, (0 3 1); 2θ 54.6, I = 21, (2 1 3); 2θ 54.8, I = 46, (2 -2 2); 2θ 55.1, I = 24, (2 2 -2); 2θ 56.6, I = 18, (-2 3 1); 2θ 65.4, I = 22, (0 1 -5)